Theoretical powder XRD pattern
Compound: Mn3OF5
Radiation: Cu Kα
Structure: a structure optimized by DFT (GGA+U)

Structural model:
```
Mn3OF5
1.0
3.229 0.000 0.000
0.000 4.928 0.000
0.000 0.000 14.731
Mn O F
6 2 10
direct
0.000 0.216 0.000 Mn
0.000 0.224 0.347 Mn
0.000 0.280 0.675 Mn
0.500 0.720 0.175 Mn
0.500 0.776 0.847 Mn
0.500 0.784 0.500 Mn
0.000 0.948 0.442 O
0.500 0.052 0.942 O
0.000 0.514 0.243 F
0.000 0.563 0.907 F
0.000 0.589 0.570 F
0.000 0.920 0.111 F
0.000 0.966 0.776 F
0.500 0.034 0.276 F
0.500 0.080 0.611 F
0.500 0.411 0.070 F
0.500 0.437 0.407 F
0.500 0.486 0.743 F
```

Principal peaks in the range 2θ from 10° to 90°, low angle first:
- 2θ 25.61, rel. 100
- 2θ 33.19, rel. 50
- 2θ 38.02, rel. 21
- 2θ 41.03, rel. 8
- 2θ 50.18, rel. 61
- 2θ 52.63, rel. 17
- 2θ 57.04, rel. 11
- 2θ 63.54, rel. 22
- 2θ 63.75, rel. 12
- 2θ 81.31, rel. 8